Starting from the PBE+U geometry in Alexandria, the X-ray diffraction stick pattern of Tl2CoMoF6 was simulated for Cu Kα, 1.54184 Å.

Most intense lines, 2θ = 10–90°, by angle:
index	two_theta	d [Å]	I/Imax
1 0 1	20.9	4.249	14
1 2 1	28.3	3.158	100
0 0 2	29.6	3.021	21
2 0 0	29.9	2.989	22
0 4 0	38.1	2.359	18
2 0 2	42.6	2.125	26
1 2 3	51.7	1.769	18
3 2 1	52.1	1.756	19
2 4 2	58.5	1.579	19
1 6 1	63.0	1.475	14

Cell and atoms:
```
20
Lattice="5.9781 0.0000 0.0000 0.0000 9.4367 0.0000 0.0000 0.0000 6.0412" Properties=species:S:1:pos:R:3 pbc="T T T"
Tl 1.4945 0.0210 1.4499
Tl 1.4945 4.6973 1.4499
Tl 4.4836 4.7394 4.5914
Tl 4.4836 9.4156 4.5914
Co 1.4945 2.3592 4.6795
Co 4.4836 7.0775 1.3617
Mo 1.4945 7.0775 4.3630
Mo 4.4836 2.3592 1.6782
F 0.0354 2.3592 0.1506
F 0.0375 2.3592 3.1932
F 1.4945 0.3466 4.7471
F 1.4945 4.3717 4.7471
F 2.9536 2.3592 0.1506
F 2.9515 2.3592 3.1932
F 3.0266 7.0775 2.8481
F 3.0245 7.0775 5.8906
F 4.4836 5.0649 1.2941
F 4.4836 9.0901 1.2941
F 5.9406 7.0775 2.8481
F 5.9427 7.0775 5.8906
```